NaNbZnP2SO12: calculated powder XRD pattern (Cu Kα X-rays), based on DFT lattice parameters and positions (GGA-PBE).
Peak positions follow from Bragg's law for the DFT cell and can differ from measured ones.

Principal peaks in the range 10 to 90 degrees two-theta, by angle:
2θ/deg, I (rel.)
14.04, 34
19.53, 64
20.27, 82
23.46, 100
28.29, 48
31.23, 85
35.05, 15
35.45, 24
47.95, 20
48.06, 13
51.31, 22
55.44, 17

Atomic structure:
Unit cell a=8.7543 b=8.7543 c=9.1083 alpha=118.75 beta=118.75 gamma=60.19
Positions (direct):
Na (0.2418, 0.7582, 0.5000)
Na (0.7582, 0.2418, 0.0000)
Nb (0.3994, 0.8984, 0.9586)
Nb (0.8984, 0.3994, 0.4586)
Zn (0.0902, 0.6163, 0.0766)
Zn (0.6163, 0.0902, 0.5766)
P (0.0019, 0.2211, 0.7793)
P (0.2211, 0.0019, 0.2793)
P (0.7182, 0.8011, 0.7779)
P (0.8011, 0.7182, 0.2779)
S (0.2980, 0.5020, 0.7756)
S (0.5020, 0.2980, 0.2756)
O (0.0386, 0.1834, 0.2954)
O (0.0418, 0.3791, 0.9413)
O (0.1302, 0.4813, 0.6128)
O (0.1834, 0.0386, 0.7954)
O (0.1866, 0.8358, 0.2509)
O (0.2519, 0.9792, 0.1084)
O (0.2704, 0.5338, 0.9334)
O (0.3113, 0.6762, 0.7866)
O (0.3478, 0.4664, 0.2495)
O (0.3791, 0.0418, 0.4413)
O (0.4664, 0.3478, 0.7495)
O (0.4813, 0.1302, 0.1128)
O (0.5338, 0.2704, 0.4334)
O (0.5380, 0.8141, 0.7945)
O (0.6223, 0.7527, 0.1088)
O (0.6752, 0.9792, 0.7545)
O (0.6762, 0.3113, 0.2866)
O (0.7527, 0.6223, 0.6088)
O (0.7723, 0.8803, 0.4386)
O (0.8141, 0.5380, 0.2945)
O (0.8358, 0.1866, 0.7509)
O (0.8803, 0.7723, 0.9386)
O (0.9792, 0.2519, 0.6084)
O (0.9792, 0.6752, 0.2545)